Record 1
Starting from DFT lattice parameters and positions (GGA-PBE), the powder X-ray diffraction pattern of Sc3Ag3Pd2 was calculated for Cu Kα.
Neutral-atom scattering factors, no anomalous dispersion.

Peak list (10 most intense, 2θ from 5° to 70°, most intense first)
- 2θ 37.2, I = 100
- 2θ 36.9, I = 73
- 2θ 46.9, I = 55
- 2θ 39.6, I = 46
- 2θ 27.5, I = 41
- 2θ 69.8, I = 29
- 2θ 42.4, I = 18
- 2θ 24.1, I = 17
- 2θ 67.1, I = 15
- 2θ 56.7, I = 14

Cell and atoms:
Cell: 7.3768 7.3768 3.2450 Å, 90.00 90.00 120.00°
Element x y z (fractional)
Sc 0.0000 0.4133 0.0000
Sc 0.4133 0.0000 0.0000
Sc 0.5867 0.5867 0.0000
Ag 0.0000 0.7713 0.5000
Ag 0.2287 0.2287 0.5000
Ag 0.7713 0.0000 0.5000
Pd 0.3333 0.6667 0.5000
Pd 0.6667 0.3333 0.5000

Record 2
Starting from DFT lattice parameters and positions (GGA-PBE), the powder X-ray diffraction pattern of KMgZn2Cd was calculated for Cu Kα.
Neutral-atom scattering factors, no anomalous dispersion.

Peak list (10 most intense, 2θ from 5° to 70°, most intense first)
- 2θ 24.9, I = 100
- 2θ 29.3, I = 60
- 2θ 14.5, I = 52
- 2θ 41.0, I = 47
- 2θ 28.0, I = 34
- 2θ 49.4, I = 31
- 2θ 51.2, I = 24
- 2θ 41.9, I = 22
- 2θ 47.7, I = 17
- 2θ 31.7, I = 16

Cell and atoms:
Cell: 6.0963 6.0963 6.3773 Å, 90.00 90.00 90.00°
Element x y z (fractional)
K 0.0000 0.0000 0.0000
Mg 0.5000 0.5000 0.5000
Zn 0.0000 0.5000 0.0000
Zn 0.5000 0.0000 0.0000
Cd 0.0000 0.0000 0.5000

Record 3
Starting from DFT lattice parameters and positions (GGA-PBE), the powder X-ray diffraction pattern of ZnAg2C4S4N4 was calculated for Cu Kα.
Neutral-atom scattering factors, no anomalous dispersion.

Peak list (10 most intense, 2θ from 5° to 70°, most intense first)
- 2θ 17.4, I = 100
- 2θ 9.0, I = 86
- 2θ 19.6, I = 85
- 2θ 21.0, I = 80
- 2θ 20.9, I = 62
- 2θ 26.3, I = 53
- 2θ 21.9, I = 51
- 2θ 24.3, I = 46
- 2θ 42.6, I = 46
- 2θ 38.8, I = 42

Cell and atoms:
Cell: 10.6494 10.6494 8.5468 Å, 95.25 95.25 44.70°
Element x y z (fractional)
Zn 0.1613 0.8387 0.7500
Zn 0.8387 0.1613 0.2500
Ag 0.2157 0.3887 0.2442
Ag 0.3887 0.2157 0.7442
Ag 0.6113 0.7843 0.2558
Ag 0.7843 0.6113 0.7558
C 0.0970 0.1638 0.6793
C 0.1638 0.0970 0.1793
C 0.3404 0.4974 0.5471
C 0.4974 0.3404 0.0471
C 0.5026 0.6596 0.9529
C 0.6596 0.5026 0.4529
C 0.8362 0.9030 0.8207
C 0.9030 0.8362 0.3207
S 0.0882 0.3199 0.6494
S 0.2958 0.4376 0.9872
S 0.3199 0.0882 0.1494
S 0.4376 0.2958 0.4872
S 0.5624 0.7042 0.5128
S 0.6801 0.9118 0.8506
S 0.7042 0.5624 0.0128
S 0.9118 0.6801 0.3506
N 0.0502 0.1039 0.1945
N 0.1039 0.0502 0.6945
N 0.2717 0.6424 0.5897
N 0.3576 0.7283 0.9103
N 0.6424 0.2717 0.0897
N 0.7283 0.3576 0.4103
N 0.8961 0.9498 0.3055
N 0.9498 0.8961 0.8055

Record 4
Starting from DFT lattice parameters and positions (GGA-PBE), the powder X-ray diffraction pattern of Dy2Mg5 was calculated for Cu Kα.
Neutral-atom scattering factors, no anomalous dispersion.

Peak list (10 most intense, 2θ from 5° to 70°, most intense first)
- 2θ 21.8, I = 100
- 2θ 32.1, I = 95
- 2θ 12.3, I = 78
- 2θ 31.4, I = 72
- 2θ 32.5, I = 55
- 2θ 31.0, I = 46
- 2θ 26.2, I = 38
- 2θ 28.3, I = 34
- 2θ 12.8, I = 31
- 2θ 55.0, I = 31

Cell and atoms:
Cell: 8.6786 8.6786 8.6786 Å, 121.90 74.68 137.38°
Element x y z (fractional)
Dy 0.0861 0.1556 0.2417
Dy 0.4139 0.6556 0.0695
Dy 0.5861 0.3444 0.9305
Dy 0.9139 0.8444 0.7583
Mg 0.0291 0.7500 0.2791
Mg 0.1457 0.7715 0.9172
Mg 0.2500 0.7500 0.5000
Mg 0.3543 0.2715 0.6259
Mg 0.4709 0.7500 0.7209
Mg 0.5291 0.2500 0.2791
Mg 0.6457 0.7285 0.3741
Mg 0.7500 0.2500 0.5000
Mg 0.8543 0.2285 0.0828
Mg 0.9709 0.2500 0.7209

Record 5
Starting from DFT lattice parameters and positions (GGA-PBE), the powder X-ray diffraction pattern of CoNi4H4 was calculated for Cu Kα.
Neutral-atom scattering factors, no anomalous dispersion.

Peak list (4 most intense, 2θ from 5° to 70°, most intense first)
- 2θ 42.5, I = 100
- 2θ 49.5, I = 44
- 2θ 42.6, I = 33
- 2θ 49.6, I = 22

Cell and atoms:
Cell: 4.5108 4.5108 6.3620 Å, 118.18 118.18 33.59°
Element x y z (fractional)
Co 0.0000 0.0000 0.0000
Ni 0.1970 0.1970 0.7947
Ni 0.4017 0.4017 0.6007
Ni 0.5983 0.5983 0.3993
Ni 0.8030 0.8030 0.2053
H 0.2002 0.2002 0.3042
H 0.4023 0.4023 0.1008
H 0.5977 0.5977 0.8992
H 0.7998 0.7998 0.6958

Record 6
Starting from DFT lattice parameters and positions (GGA-PBE), the powder X-ray diffraction pattern of Li3C was calculated for Cu Kα.
Neutral-atom scattering factors, no anomalous dispersion.

Peak list (10 most intense, 2θ from 5° to 70°, most intense first)
- 2θ 23.5, I = 100
- 2θ 45.7, I = 90
- 2θ 53.0, I = 39
- 2θ 25.9, I = 26
- 2θ 44.2, I = 24
- 2θ 36.9, I = 21
- 2θ 50.9, I = 15
- 2θ 39.7, I = 14
- 2θ 48.0, I = 14
- 2θ 64.7, I = 12

Cell and atoms:
Cell: 4.3683 4.3683 4.3683 Å, 141.46 75.99 117.38°
Element x y z (fractional)
Li 0.0000 0.0000 0.0000
Li 0.3146 0.5067 0.8078
Li 0.6989 0.5067 0.1922
C 0.3272 0.8272 0.5000